For CaSmGd2, a structure optimized by DFT (PBE) gives the computed powder XRD pattern in this record (Cu Kα (λ = 1.5418 Å)).

Main lines, in order of rising 2θ (2θ = 15–90°):
29.88°, d = 2.990 Å, rel. 100
34.24°, d = 2.619 Å, rel. 16
34.84°, d = 2.575 Å, rel. 34
35.62°, d = 2.520 Å, rel. 11
49.65°, d = 1.836 Å, rel. 22
50.10°, d = 1.821 Å, rel. 12
58.64°, d = 1.574 Å, rel. 12
59.43°, d = 1.555 Å, rel. 28
62.08°, d = 1.495 Å, rel. 11
80.68°, d = 1.191 Å, rel. 9

Cell and atoms:
```
CaSmGd2
1.0
3.6416 0.0000 0.0000
0.0000 3.6416 0.0000
0.0000 0.0000 10.4750
Ca Sm Gd
1 1 2
direct
0.0000 0.0000 0.0000
0.0000 0.0000 0.5000
0.5000 0.5000 0.2672
0.5000 0.5000 0.7328
```

=====

For V8Tc3W2, a structure optimized by DFT (PBE) gives the computed powder XRD pattern in this record (Cu Kα (λ = 1.5418 Å)).

Main lines, in order of rising 2θ (2θ = 15–90°):
15.64°, d = 5.667 Å, rel. 37
18.10°, d = 4.902 Å, rel. 54
31.57°, d = 2.834 Å, rel. 66
36.67°, d = 2.451 Å, rel. 32
38.98°, d = 2.310 Å, rel. 79
39.86°, d = 2.262 Å, rel. 72
40.51°, d = 2.227 Å, rel. 100
42.27°, d = 2.138 Å, rel. 60
45.22°, d = 2.005 Å, rel. 37
46.52°, d = 1.952 Å, rel. 37

Cell and atoms:
```
V8Tc3W2
1.0
6.2344 -3.2254 0.0000
6.2344 3.2254 0.0000
-1.5858 0.0000 4.9018
V Tc W
8 3 2
direct
0.0723 0.7062 0.3359
0.1077 0.1077 0.1781
0.2938 0.9277 0.6641
0.3019 0.3019 0.5631
0.6981 0.6981 0.4369
0.7062 0.0723 0.3359
0.8923 0.8923 0.8219
0.9277 0.2938 0.6641
0.3028 0.6972 0.0000
0.5000 0.5000 0.5000
0.6972 0.3028 0.0000
0.2909 0.2909 0.0321
0.7091 0.7091 0.9679
```

=====

For KTa3P, a structure optimized by DFT (PBE) gives the computed powder XRD pattern in this record (Cu Kα (λ = 1.5418 Å)).

Main lines, in order of rising 2θ (2θ = 15–90°):
18.55°, d = 4.784 Å, rel. 28
26.35°, d = 3.383 Å, rel. 9
32.42°, d = 2.762 Å, rel. 100
37.60°, d = 2.392 Å, rel. 62
42.24°, d = 2.139 Å, rel. 14
54.23°, d = 1.691 Å, rel. 43
57.82°, d = 1.595 Å, rel. 7
64.62°, d = 1.442 Å, rel. 42
67.87°, d = 1.381 Å, rel. 15
89.25°, d = 1.097 Å, rel. 18

Cell and atoms:
```
KTa3P
1.0
4.7838 0.0000 0.0000
0.0000 4.7838 0.0000
0.0000 0.0000 4.7838
K Ta P
1 3 1
direct
0.0000 0.0000 0.0000
0.0000 0.5000 0.5000
0.5000 0.0000 0.5000
0.5000 0.5000 0.0000
0.5000 0.5000 0.5000
```

=====

For Pr4MgCd, a structure optimized by DFT (PBE) gives the computed powder XRD pattern in this record (Cu Kα (λ = 1.5418 Å)).

Main lines, in order of rising 2θ (2θ = 15–90°):
30.94°, d = 2.890 Å, rel. 100
31.01°, d = 2.884 Å, rel. 33
33.42°, d = 2.682 Å, rel. 56
40.46°, d = 2.229 Å, rel. 14
47.85°, d = 1.901 Å, rel. 10
48.11°, d = 1.891 Å, rel. 10
53.45°, d = 1.714 Å, rel. 25
58.11°, d = 1.587 Å, rel. 11
58.12°, d = 1.587 Å, rel. 11
58.29°, d = 1.583 Å, rel. 22

Cell and atoms:
```
Pr4MgCd
1.0
13.8987 0.0000 0.0000
0.0000 3.8019 0.0000
-2.0551 0.0000 7.2808
Pr Mg Cd
8 2 2
direct
0.1542 0.0000 0.3296
0.1558 0.0000 0.8258
0.3442 0.5000 0.1742
0.3458 0.5000 0.6704
0.6542 0.5000 0.3296
0.6558 0.5000 0.8258
0.8442 0.0000 0.1742
0.8458 0.0000 0.6704
0.0000 0.5000 0.0000
0.5000 0.0000 0.0000
0.0000 0.5000 0.5000
0.5000 0.0000 0.5000
```

=====

For Sm3Se3I, a structure optimized by DFT (PBE) gives the computed powder XRD pattern in this record (Cu Kα (λ = 1.5418 Å)).

Main lines, in order of rising 2θ (2θ = 15–90°):
19.66°, d = 4.516 Å, rel. 31
24.91°, d = 3.574 Å, rel. 42
30.59°, d = 2.922 Å, rel. 31
34.39°, d = 2.608 Å, rel. 100
36.62°, d = 2.454 Å, rel. 69
42.94°, d = 2.106 Å, rel. 15
46.68°, d = 1.946 Å, rel. 37
51.09°, d = 1.788 Å, rel. 27
63.07°, d = 1.474 Å, rel. 21
74.40°, d = 1.275 Å, rel. 19

Cell and atoms:
```
Sm3Se3I
1.0
4.5162 2.6075 5.8475
-4.5162 2.6075 5.8475
0.0000 -5.2149 5.8475
Sm Se I
6 6 2
direct
0.0851 0.4353 0.7229
0.2771 0.9149 0.5647
0.4353 0.7229 0.0851
0.5647 0.2771 0.9149
0.7229 0.0851 0.4353
0.9149 0.5647 0.2771
0.0911 0.7914 0.3816
0.2086 0.6184 0.9089
0.3816 0.0911 0.7914
0.6184 0.9089 0.2086
0.7914 0.3816 0.0911
0.9089 0.2086 0.6184
0.3275 0.3275 0.3275
0.6725 0.6725 0.6725
```

=====

For DyEr7Tm4, a structure optimized by DFT (PBE) gives the computed powder XRD pattern in this record (Cu Kα (λ = 1.5418 Å)).

Main lines, in order of rising 2θ (2θ = 15–90°):
31.35°, d = 2.853 Å, rel. 100
36.36°, d = 2.471 Å, rel. 51
52.36°, d = 1.747 Å, rel. 36
62.29°, d = 1.491 Å, rel. 32
62.38°, d = 1.489 Å, rel. 11
65.38°, d = 1.427 Å, rel. 9
77.21°, d = 1.236 Å, rel. 6
85.60°, d = 1.135 Å, rel. 9
88.40°, d = 1.106 Å, rel. 8
88.54°, d = 1.104 Å, rel. 8

Cell and atoms:
```
DyEr7Tm4
1.0
3.4973 0.0000 0.0000
-1.7487 3.0288 0.0000
0.0000 0.0000 34.1886
Dy Er Tm
1 7 4
direct
0.0000 0.0000 0.0000
0.0000 0.0000 0.2505
0.0000 0.0000 0.5000
0.0000 0.0000 0.7495
0.3333 0.6667 0.6660
0.3333 0.6667 0.9158
0.6667 0.3333 0.0842
0.6667 0.3333 0.3340
0.3333 0.6667 0.1673
0.3333 0.6667 0.4170
0.6667 0.3333 0.5830
0.6667 0.3333 0.8327
```